Record 1
Computed XRD peak list of YEr3Sc2 for Cu Ka, from a GGA-PBE-relaxed structure.

Most intense lines, 10° ≤ 2θ ≤ 90°, sorted by position:
10.5°, I = 84
21.0°, I = 21
29.3°, I = 29
31.8°, I = 70
32.1°, I = 43
32.3°, I = 100
33.6°, I = 65
33.9°, I = 39
35.6°, I = 31
37.3°, I = 21
38.5°, I = 25
54.4°, I = 22

Structural model:
a b c (Å): 11.345 11.345 9.837
angles (deg): 107.73 107.73 17.10
Positions (direct):
Y 0.184 0.184 0.043
Y 0.816 0.816 0.957
Er 0.060 0.060 0.435
Er 0.197 0.197 0.708
Er 0.431 0.431 0.231
Er 0.569 0.569 0.769
Er 0.803 0.803 0.292
Er 0.940 0.940 0.565
Sc 0.192 0.192 0.374
Sc 0.430 0.430 0.860
Sc 0.570 0.570 0.140
Sc 0.808 0.808 0.626

***

Record 2
Computed XRD peak list of Y2Ag3Pd for Cu Ka, from a GGA-PBE-relaxed structure.

Most intense lines, 10° ≤ 2θ ≤ 90°, sorted by position:
25.8°, I = 23
33.9°, I = 100
34.2°, I = 51
37.8°, I = 46
38.5°, I = 83
46.9°, I = 19
51.9°, I = 30
52.9°, I = 17
65.8°, I = 14
66.9°, I = 16
67.3°, I = 30
68.8°, I = 14

Structural model:
a b c (Å): 3.460 4.757 8.054
angles (deg): 90.00 90.00 90.00
Positions (direct):
Y 0.000 0.000 0.000
Y 0.000 0.500 0.457
Ag 0.500 0.000 0.644
Ag 0.500 0.500 0.140
Ag 0.500 0.500 0.803
Pd 0.500 0.000 0.306

***

Record 3
Computed XRD peak list of Sr2LiO2 for Cu Ka, from a GGA-PBE-relaxed structure.

Most intense lines, 10° ≤ 2θ ≤ 90°, sorted by position:
22.9°, I = 61
28.6°, I = 100
31.0°, I = 23
37.4°, I = 49
41.0°, I = 9
43.9°, I = 32
44.3°, I = 45
51.6°, I = 12
53.9°, I = 17
59.3°, I = 16
62.1°, I = 23
72.0°, I = 14

Structural model:
a b c (Å): 6.634 6.634 6.634
angles (deg): 108.35 87.06 137.43
Positions (direct):
Sr 0.133 0.216 0.349
Sr 0.367 0.716 0.083
Sr 0.633 0.284 0.917
Sr 0.867 0.784 0.651
Li 0.250 0.750 0.500
Li 0.750 0.250 0.500
O 0.110 0.657 0.767
O 0.390 0.157 0.546
O 0.610 0.843 0.454
O 0.890 0.343 0.233